Starting from a crystal structure in the Materials Project, relaxed with PBE+U, the PXRD pattern of La2MgFe2Te2O12 was simulated for Cu Kα X-rays.
Neutral-atom scattering factors, no anomalous dispersion.

Structural model:
```
data_La2MgFe2Te2O12
_chemical_formula_sum 'La2 Mg1 Fe2 Te2 O12'
_symmetry_space_group_name_H-M 'P 1'
_symmetry_Int_Tables_number 1
_symmetry_space_group_name_Hall 'P 1'
_cell_length_a 5.3328
_cell_length_b 5.3406
_cell_length_c 10.9895
_cell_angle_alpha 89.89
_cell_angle_beta 89.90
_cell_angle_gamma 60.15
loop_
_atom_site_label
_atom_site_type_symbol
_atom_site_fract_x
_atom_site_fract_y
_atom_site_fract_z
La1 La 0.0000 0.0000 0.0000
La2 La 0.0010 0.9991 0.5679
Mg1 Mg 0.9981 0.0005 0.2838
Fe1 Fe 0.3366 0.3315 0.7838
Fe2 Fe 0.6670 0.6685 0.2838
Te1 Te 0.3315 0.3348 0.2839
Te2 Te 0.6671 0.6642 0.7840
O1 O 0.0279 0.6499 0.3824
O2 O 0.0303 0.3182 0.1854
O3 O 0.3144 0.0334 0.3826
O4 O 0.3159 0.6522 0.1849
O5 O 0.3757 0.6498 0.6815
O6 O 0.3774 0.9683 0.8868
O7 O 0.6442 0.9758 0.6823
O8 O 0.6452 0.3781 0.8874
O9 O 0.6475 0.0293 0.1861
O10 O 0.6493 0.3206 0.3820
O11 O 0.9707 0.3778 0.6801
O12 O 0.9759 0.6463 0.8857
```

Largest 10 diffraction maxima, sorted by position, 2θ = 10–80°:
| Position (°2θ) | Rel. int. |
| --- | --- |
| 16.13 | 13 |
| 20.84 | 16 |
| 25.17 | 100 |
| 31.15 | 16 |
| 33.53 | 30 |
| 33.61 | 15 |
| 42.38 | 16 |
| 47.47 | 38 |
| 55.17 | 11 |
| 59.95 | 11 |